Entry 1:
Structure and simulated powder XRD pattern of K2CrAs2O6 (a PBE+U-relaxed structure; Cu Kα, 1.54184 Å).

Structure:
```
data_K2CrAs2O6
_chemical_formula_sum 'K6 Cr3 As6 O18'
_symmetry_space_group_name_H-M 'R -3 m'
_symmetry_Int_Tables_number 166
_symmetry_space_group_name_Hall '-R 3 2"'
_cell_length_a 5.7767
_cell_length_b 5.7767
_cell_length_c 18.9958
_cell_angle_alpha 90.00
_cell_angle_beta 90.00
_cell_angle_gamma 120.00
loop_
_atom_site_label
_atom_site_type_symbol
_atom_site_fract_x
_atom_site_fract_y
_atom_site_fract_z
K1 K 0.0000 0.0000 0.2453
Cr1 Cr 0.0000 0.0000 0.0000
As1 As 0.0000 0.0000 0.4260
O1 O 0.0007 0.5004 0.2690
```

Largest 8 diffraction maxima, low angle first, 10 to 80 degrees two-theta:
two_theta	intensity
18.3	32.7
20.1	43.9
28.2	40.9
29.5	63.6
31.0	100.0
37.7	24.6
42.4	27.1
49.6	26.0

=====

Entry 2:
Structure and simulated powder XRD pattern of K2Cr2AsO10 (a PBE+U-relaxed structure; Cu Kα, 1.54184 Å).

Structure:
```
data_K2Cr2AsO10
_chemical_formula_sum 'K6 Cr6 As3 O30'
_symmetry_space_group_name_H-M 'P 31'
_symmetry_Int_Tables_number 144
_cell_length_a 7.9826
_cell_length_b 7.9826
_cell_length_c 15.0109
_cell_angle_alpha 90.00
_cell_angle_beta 90.00
_cell_angle_gamma 120.00
loop_
_symmetry_equiv_pos_as_xyz
'x,y,z'
'-y,x-y,z+1/3'
'-x+y,-x,z+2/3'
loop_
_atom_site_label
_atom_site_type_symbol
_atom_site_fract_x
_atom_site_fract_y
_atom_site_fract_z
K1 K 0.0212 0.5083 0.0000
K2 K 0.3623 0.3612 0.8221
Cr1 Cr 0.0359 0.6013 0.2520
Cr2 Cr 0.4546 0.4087 0.0687
As1 As 0.1843 0.0399 0.1933
O1 O 0.0394 0.0207 0.8198
O2 O 0.0784 0.4985 0.8069
O3 O 0.0988 0.7249 0.6722
O4 O 0.1660 0.5566 0.3208
O5 O 0.1728 0.3717 0.5252
O6 O 0.2148 0.1338 0.2986
O7 O 0.3694 0.2481 0.6420
O8 O 0.3930 0.1848 0.1288
O9 O 0.4984 0.0714 0.8464
O10 O 0.5376 0.1796 0.3385
```

Largest 8 diffraction maxima, low angle first, 10 to 80 degrees two-theta:
two_theta	intensity
17.4	70.0
21.9	55.2
22.3	42.7
25.3	61.4
25.8	57.3
26.5	56.4
27.0	100.0
42.1	41.8